Structure and theoretical X-ray powder pattern of V8Cd3CuO24 (a structure optimized by DFT (PBE+U); Cu Kα, 1.54184 Å).
Peak positions follow from Bragg's law for the DFT cell and can differ from measured ones.

Peak list (12 most intense, 10 to 90 degrees two-theta, sorted by position)
| 2theta | I_rel | h k l |
| --- | --- | --- |
| 12.8 | 29 | 1 0 -1 |
| 19.8 | 89 | 1 0 3 |
| 24.1 | 90 | 1 0 -5 |
| 26.0 | 55 | 0 1 2 |
| 28.2 | 57 | 2 0 2 |
| 29.9 | 100 | 1 1 -3 |
| 36.4 | 24 | 0 0 8 |
| 37.1 | 35 | 1 1 5 |
| 38.9 | 24 | 3 0 -3 |
| 45.7 | 24 | 3 1 -1 |
| 48.7 | 23 | 2 1 -8 |
| 49.9 | 27 | 0 2 0 |

Structural model:
```
data_V8Cd3CuO24
_chemical_formula_sum 'V8 Cd3 Cu1 O24'
_cell_length_a 7.0909
_cell_length_b 3.6536
_cell_length_c 19.9924
_cell_angle_alpha 90.00
_cell_angle_beta 98.57
_cell_angle_gamma 90.00
_symmetry_space_group_name_H-M 'P 1 2/m 1'
_symmetry_Int_Tables_number 10
loop_
_symmetry_equiv_pos_as_xyz
'x,y,z'
'-x,-y,-z'
'-x,y,-z'
'x,-y,z'
loop_
_atom_site_label
_atom_site_fract_x
_atom_site_fract_y
_atom_site_fract_z
_atom_site_occupancy
V1 0.0498 0.0000 0.3788 1
V2 0.2083 0.5000 0.8775 1
V3 0.3143 0.5000 0.6331 1
V4 0.4214 0.0000 0.1101 1
Cd1 0.2352 0.5000 0.2461 1
Cd2 0.5000 0.0000 0.5000 1
Cu1 0.0000 0.0000 0.0000 1
O1 0.0292 0.5000 0.6300 1
O2 0.0662 0.5000 0.9390 1
O3 0.0698 0.5000 0.8020 1
O4 0.1852 0.0000 0.3144 1
O5 0.1904 0.0000 0.4532 1
O6 0.2349 0.0000 0.6244 1
O7 0.2589 0.0000 0.0391 1
O8 0.2920 0.0000 0.8845 1
O9 0.3051 0.0000 0.1787 1
O10 0.4490 0.5000 0.5686 1
O11 0.4554 0.5000 0.7073 1
O12 0.4993 0.5000 0.1126 1
```